Record 1
Calculated XRD peak list
Compound: HoF2
Radiation: Cu Ka
Structure: a cell relaxed with PBE
Intensities are scaled so that the largest is 100.

Top 10 peaks for 2θ from 10° to 90°, low angle first:
2θ/deg	d/Å	I_rel	h k l
25.56	3.484	97	1 1 0
29.37	3.041	100	1 0 1
36.47	2.464	25	2 0 0
47.49	1.914	75	2 1 1
52.53	1.742	15	2 2 0
54.28	1.690	24	1 1 2
59.30	1.558	15	3 1 0
61.32	1.512	22	3 0 1
73.49	1.289	14	3 2 1
78.91	1.213	13	3 1 2

Crystal structure
Cell lengths 4.9277, 4.9277, 3.8655 Å; angles 90.00, 90.00, 90.00 degrees
Space group P4_2/mnm (No. 136)
Symmetry-distinct sites (fractional):
Ho 0.0000 0.0000 0.0000 x2
F 0.1816 0.1816 0.5000 x4

=====

Record 2
Calculated XRD peak list
Compound: K3HoF6
Radiation: Cu Ka
Structure: a cell relaxed with PBE
Intensities are scaled so that the largest is 100.

Top 10 peaks for 2θ from 10° to 90°, low angle first:
2θ/deg	d/Å	I_rel	h k l
17.17	5.163	79	0 1 1
17.53	5.060	27	1 0 0
18.02	4.924	37	1 0 -2
20.05	4.429	61	1 1 -1
20.52	4.328	25	0 0 2
27.73	3.217	34	0 2 0
28.53	3.129	75	1 1 1
29.18	3.061	100	1 1 -3
40.74	2.215	40	2 2 -2
51.03	1.790	30	3 1 -1

Crystal structure
Cell lengths 6.1101, 6.4332, 10.4528 Å; angles 90.00, 124.09, 90.00 degrees
Space group P2_1/c (No. 14)
Symmetry-distinct sites (fractional):
K 0.0000 0.0000 0.0000 x2
K 0.2236 0.0624 0.7450 x4
Ho 0.5000 0.0000 0.5000 x2
F 0.1599 0.1762 0.4463 x4
F 0.2568 0.7243 0.4246 x4
F 0.3990 0.0631 0.2705 x4

=====

Record 3
Calculated XRD peak list
Compound: YHoNF2
Radiation: Cu Ka
Structure: a cell relaxed with PBE
Intensities are scaled so that the largest is 100.

Top 10 peaks for 2θ from 10° to 90°, low angle first:
2θ/deg	d/Å	I_rel	h k l
13.32	6.648	36	0 0 1
26.82	3.324	29	0 0 2
29.83	2.995	39	1 0 0
32.80	2.730	100	0 1 1
40.55	2.225	68	1 0 2
51.29	1.781	28	0 1 3
52.96	1.729	32	1 1 0
60.34	1.534	18	1 1 2
63.71	1.461	15	2 0 1
64.08	1.453	18	1 0 4

Crystal structure
Cell lengths 3.4580, 3.4580, 6.6480 Å; angles 90.00, 90.00, 120.00 degrees
Space group P3m1 (No. 156)
Symmetry-distinct sites (fractional):
Y 0.0000 0.0000 0.0000 x1
Ho 0.6667 0.3333 0.6042 x1
N 0.3333 0.6667 0.7975 x1
F 0.0000 0.0000 0.4276 x1
F 0.6667 0.3333 0.1850 x1

=====

Record 4
Calculated XRD peak list
Compound: Na5Ho4Si4O16F
Radiation: Cu Ka
Structure: a cell relaxed with PBE
Intensities are scaled so that the largest is 100.

Top 10 peaks for 2θ from 10° to 90°, low angle first:
2θ/deg	d/Å	I_rel	h k l
10.89	8.123	58	1 1 0
18.22	4.869	100	1 0 1
23.96	3.714	45	2 1 1
24.50	3.633	50	3 1 0
28.62	3.119	63	3 0 1
32.67	2.741	68	2 3 1
33.33	2.688	44	0 0 2
36.32	2.474	58	4 1 1
42.80	2.113	38	3 4 1
49.05	1.857	41	2 4 2

Crystal structure
Cell lengths 11.4874, 11.4874, 5.3761 Å; angles 90.00, 90.00, 90.00 degrees
Space group I-4 (No. 82)
Symmetry-distinct sites (fractional):
Na 0.0000 0.0000 0.0000 x2
Na 0.0891 0.6041 0.4932 x8
Ho 0.1154 0.1817 0.4765 x8
Si 0.1039 0.7527 0.9895 x8
O 0.0326 0.7946 0.7421 x8
O 0.0481 0.8140 0.2357 x8
O 0.1096 0.6106 0.0140 x8
O 0.2029 0.2378 0.0667 x8
F 0.0000 0.0000 0.5000 x2